Calculated X-ray powder pattern
Compound: LaTmIn2Ni4
Radiation: a wavelength of 1.5418 Å
Structure: the PBE geometry in OQMD

Largest 8 diffraction maxima, by angle, 2θ from 10° to 80°:
| 2θ (°) | I/Imax |
| --- | --- |
| 30.79 | 100 |
| 33.67 | 28 |
| 34.68 | 32 |
| 38.02 | 60 |
| 42.12 | 30 |
| 43.34 | 27 |
| 43.46 | 27 |
| 44.85 | 34 |

Crystal structure
```
LaTmIn2Ni4
1.0
4.0421 0.0000 0.0000
0.0000 5.1730 0.0000
0.0000 0.0000 7.0735
La Tm In Ni
1 1 2 4
Cartesian
0.0000 0.0000 0.0000
0.0000 2.5865 3.7635
2.0210 0.0000 4.3409
2.0210 2.5865 6.4406
0.0000 0.0000 2.6989
0.0000 2.5865 1.1162
2.0210 1.3378 1.9534
2.0210 3.8352 1.9534
```



Calculated X-ray powder pattern
Compound: LaEr2Al7Cu2
Radiation: a wavelength of 1.5418 Å
Structure: the PBE geometry in OQMD

Largest 8 diffraction maxima, by angle, 2θ from 10° to 80°:
| 2θ (°) | I/Imax |
| --- | --- |
| 18.92 | 39 |
| 20.80 | 30 |
| 30.79 | 51 |
| 32.51 | 90 |
| 33.70 | 31 |
| 37.88 | 26 |
| 38.91 | 100 |
| 64.14 | 27 |

Crystal structure
```
LaEr2Al7Cu2
1.0
2.7544 1.5903 8.5413
-2.7544 1.5903 8.5413
0.0000 -3.1806 8.5413
La Er Al Cu
1 2 7 2
Cartesian
0.0000 0.0000 0.0000
0.0000 0.0000 3.6390
0.0000 0.0000 21.9849
-1.4038 -0.8105 10.5992
0.0000 -1.6210 15.0247
-1.4038 0.8105 15.0247
0.0000 0.0000 12.8119
1.4038 -0.8105 10.5992
0.0000 1.6210 10.5992
1.4038 0.8105 15.0246
0.0000 0.0000 8.5921
0.0000 0.0000 17.0318
```



Calculated X-ray powder pattern
Compound: CdCuAgSnSe4
Radiation: a wavelength of 1.5418 Å
Structure: the PBE geometry in OQMD

Largest 8 diffraction maxima, by angle, 2θ from 10° to 80°:
| 2θ (°) | I/Imax |
| --- | --- |
| 25.77 | 100 |
| 42.36 | 50 |
| 43.44 | 23 |
| 49.28 | 16 |
| 51.20 | 29 |
| 67.76 | 12 |
| 76.72 | 8 |
| 78.98 | 15 |

Crystal structure
```
CdCuAgSnSe4
1.0
-2.9463 2.9463 6.1897
2.9463 -2.9463 6.1897
2.9463 2.9463 -6.1897
Cd Cu Ag Sn Se
1 1 1 1 4
Cartesian
0.0000 0.0000 0.0000
0.0000 2.9463 3.0948
0.0000 0.0000 6.1897
2.9463 0.0000 3.0948
4.3296 1.4144 -1.6608
1.4144 1.5629 1.6608
-1.3833 1.5318 4.5289
1.5318 1.3833 7.8505
```



Calculated X-ray powder pattern
Compound: NdSmSc2Ge2
Radiation: a wavelength of 1.5418 Å
Structure: the PBE geometry in OQMD

Largest 8 diffraction maxima, by angle, 2θ from 10° to 80°:
| 2θ (°) | I/Imax |
| --- | --- |
| 26.67 | 64 |
| 29.37 | 92 |
| 31.49 | 86 |
| 33.75 | 32 |
| 35.05 | 100 |
| 37.20 | 79 |
| 42.02 | 78 |
| 55.83 | 52 |

Crystal structure
```
NdSmSc2Ge2
1.0
-2.1503 2.1503 7.9671
2.1503 -2.1503 7.9671
2.1503 2.1503 -7.9671
Nd Sm Sc Ge
1 1 2 2
Cartesian
0.0000 0.0000 0.0000
0.0000 0.0000 10.3061
2.1503 0.0000 5.1376
0.0000 2.1503 5.1376
0.0000 0.0000 3.1789
0.0000 0.0000 7.1095
```



Calculated X-ray powder pattern
Compound: Rb4Zn2SnPb
Radiation: a wavelength of 1.5418 Å
Structure: the PBE geometry in OQMD

Largest 8 diffraction maxima, by angle, 2θ from 10° to 80°:
| 2θ (°) | I/Imax |
| --- | --- |
| 15.41 | 23 |
| 18.48 | 26 |
| 24.88 | 25 |
| 25.53 | 24 |
| 26.27 | 26 |
| 28.77 | 100 |
| 33.93 | 30 |
| 47.94 | 25 |

Crystal structure
```
Rb4Zn2SnPb
1.0
6.7838 0.0000 0.0000
0.0000 5.7508 4.2123
0.0000 -5.7508 4.2123
Rb Zn Sn Pb
4 2 1 1
Cartesian
0.0000 -3.8191 4.2123
0.0000 3.8191 4.2123
3.3919 -1.9559 2.5692
3.3919 1.9559 2.5692
1.7172 0.0000 5.5332
5.0665 0.0000 5.5332
3.3919 0.0000 7.5727
0.0000 0.0000 3.4492
```



Calculated X-ray powder pattern
Compound: Ho2Sc2BBr5
Radiation: a wavelength of 1.5418 Å
Structure: the PBE geometry in OQMD

Largest 8 diffraction maxima, by angle, 2θ from 10° to 80°:
| 2θ (°) | I/Imax |
| --- | --- |
| 10.20 | 66 |
| 22.49 | 34 |
| 24.00 | 39 |
| 30.95 | 54 |
| 32.29 | 100 |
| 35.05 | 32 |
| 45.18 | 32 |
| 45.48 | 33 |

Crystal structure
```
Ho2Sc2BBr5
1.0
8.8859 -1.8978 0.0000
8.8859 1.8978 0.0000
-1.7816 0.0000 7.9208
Ho Sc B Br
2 2 1 5
Cartesian
-0.5097 0.0000 2.3096
16.4998 0.0000 5.6112
5.7344 0.0000 3.4161
10.2558 0.0000 4.5047
7.9951 0.0000 3.9604
1.4752 0.0000 6.4934
2.3904 0.0000 2.7440
8.8859 0.0000 0.0000
13.5998 0.0000 5.1768
14.5150 0.0000 1.4275
```



Calculated X-ray powder pattern
Compound: Co4C3
Radiation: a wavelength of 1.5418 Å
Structure: the PBE geometry in OQMD

Largest 8 diffraction maxima, by angle, 2θ from 10° to 80°:
| 2θ (°) | I/Imax |
| --- | --- |
| 35.24 | 7 |
| 40.92 | 100 |
| 46.01 | 35 |
| 55.09 | 10 |
| 59.25 | 13 |
| 70.86 | 10 |
| 74.52 | 19 |
| 78.13 | 15 |

Crystal structure
```
Co4C3
1.0
-3.1189 3.1189 3.1189
3.1189 -3.1189 3.1189
3.1189 3.1189 -3.1189
Co C
8 6
Cartesian
2.9246 0.1943 -0.1943
4.4840 -1.3651 1.3651
0.1943 0.1943 0.1943
0.1943 -0.1943 2.9246
-0.1943 2.9246 0.1943
1.3651 4.4840 -1.3651
1.7538 1.7538 1.7538
-1.3651 1.3651 4.4840
4.6784 0.7797 0.0000
2.3392 0.0000 1.5595
1.5595 2.3392 0.0000
0.0000 1.5595 2.3392
0.7797 0.0000 4.6784
0.0000 4.6784 0.7797
```



Calculated X-ray powder pattern
Compound: Cs2PtCl3F
Radiation: a wavelength of 1.5418 Å
Structure: the PBE geometry in OQMD

Largest 8 diffraction maxima, by angle, 2θ from 10° to 80°:
| 2θ (°) | I/Imax |
| --- | --- |
| 12.45 | 100 |
| 23.45 | 52 |
| 25.06 | 43 |
| 25.82 | 96 |
| 27.43 | 62 |
| 33.19 | 33 |
| 43.57 | 30 |
| 46.62 | 27 |

Crystal structure
```
Cs2PtCl3F
1.0
4.4863 0.0000 0.0000
0.0000 4.7207 5.3988
0.0000 -4.7207 5.3988
Cs Pt Cl F
2 1 3 1
Cartesian
0.0000 -2.6616 5.3988
0.0000 2.6616 5.3988
2.2431 0.0000 8.0608
2.2431 -2.3191 8.1049
2.2431 0.0000 5.7739
2.2431 2.3191 8.1049
2.2431 0.0000 10.1152
```